Diffraction record for Sr3MgFe2S2O5. The powder XRD pattern is computed, not measured: it uses a GGA+U-relaxed structure and copper Kα.
Peak positions follow from Bragg's law for the DFT cell and can differ from measured ones.

Principal peaks in the range 2θ = 10–90°, low angle first:
2θ = 31.97°, intensity 43, hkl 1 1 0
2θ = 32.14°, intensity 100, hkl 1 0 7
2θ = 37.23°, intensity 10, hkl 1 0 9
2θ = 37.68°, intensity 17, hkl 1 1 6
2θ = 45.84°, intensity 33, hkl 2 0 0
2θ = 46.34°, intensity 10, hkl 0 0 14
2θ = 57.08°, intensity 37, hkl 2 1 7
2θ = 57.40°, intensity 14, hkl 1 1 14
2θ = 67.23°, intensity 10, hkl 2 0 14
2θ = 76.06°, intensity 15, hkl 3 0 7

Atomic structure:
a b c (Å): 3.9590 3.9590 27.4338
angles (deg): 90.00 90.00 90.00
Space group I-4m2 (No. 119)
Asymmetric unit:
1 Sr 0.0000 0.0000 0.0000
2 Sr 0.0000 0.0000 0.1384
3 Mg 0.0000 0.5000 0.7500
4 Fe 0.0000 0.0000 0.4296
5 S 0.0000 0.0000 0.3062
6 O 0.0000 0.0000 0.5000
7 O 0.0000 0.5000 0.0798
8 O 0.0000 0.5000 0.5811